This entry pairs a crystal structure of Li4Mn5O12 with its computed powder diffractogram. Radiation: Cu Kα (weighted mean of Kα1 and Kα2). Structure: a cell relaxed with PBE+U.

Most intense lines, 5° ≤ 2θ ≤ 70°, by angle:
15.6°, d 5.696, I 9.7
18.6°, d 4.780, I 100.0
36.0°, d 2.497, I 19.3
36.1°, d 2.491, I 24.9
43.8°, d 2.068, I 56.4
57.8°, d 1.596, I 5.1
57.9°, d 1.592, I 10.7
63.4°, d 1.467, I 5.4
63.6°, d 1.462, I 22.0
63.8°, d 1.459, I 5.7

Atomic structure:
a b c (Å): 5.846 5.846 13.072
angles (deg): 102.69 102.69 89.98
Atoms (fractional coordinates):
Li1 0.000 0.000 0.000
Li2 0.000 0.000 0.500
Li3 0.114 0.886 0.750
Li4 0.217 0.460 0.923
Li5 0.460 0.217 0.423
Li6 0.540 0.783 0.577
Li7 0.783 0.540 0.077
Li8 0.886 0.114 0.250
Mn1 0.000 0.500 0.500
Mn2 0.167 0.666 0.336
Mn3 0.328 0.334 0.665
Mn4 0.334 0.328 0.165
Mn5 0.334 0.833 0.164
Mn6 0.500 0.000 0.000
Mn7 0.666 0.167 0.836
Mn8 0.666 0.672 0.835
Mn9 0.672 0.666 0.335
Mn10 0.833 0.334 0.664
O1 0.077 0.559 0.658
O2 0.082 0.128 0.670
O3 0.119 0.584 0.174
O4 0.128 0.082 0.170
O5 0.224 0.725 0.485
O6 0.237 0.274 0.514
O7 0.274 0.237 0.014
O8 0.275 0.776 0.015
O9 0.415 0.436 0.323
O10 0.416 0.881 0.326
O11 0.436 0.415 0.823
O12 0.441 0.923 0.842
O13 0.559 0.077 0.158
O14 0.564 0.585 0.177
O15 0.584 0.119 0.674
O16 0.585 0.564 0.677
O17 0.725 0.224 0.985
O18 0.726 0.763 0.986
O19 0.763 0.726 0.486
O20 0.776 0.275 0.515
O21 0.872 0.918 0.830
O22 0.881 0.416 0.826
O23 0.918 0.872 0.330
O24 0.923 0.441 0.342